Er4GaIr2: theoretical X-ray diffraction stick pattern (Cu Ka), based on DFT lattice parameters and positions (GGA-PBE).
No peak broadening, texture or thermal motion is included.

Principal peaks in the range 10 to 80 degrees two-theta, sorted by position:
d (Å)	two_theta	I/Imax	h k l
3.943	22.55	18.0	0 0 6
3.415	26.10	4.4	1 0 4
2.415	37.24	100.0	1 1 0
2.059	43.97	9.7	1 1 6
1.707	53.69	17.3	2 0 8
1.567	58.96	4.1	0 1 14
1.394	67.13	26.8	3 0 0
1.393	67.22	8.0	1 0 16
1.208	79.32	5.7	2 2 0
1.207	79.42	5.1	0 2 16

Structural model:
```
data_Er4GaIr2
_chemical_formula_sum 'Er12 Ga3 Ir6'
_space_group_name_H-M_alt 'R -3 m'
_space_group_IT_number 166
_space_group_name_Hall '-R 3 2"'
_cell_length_a 4.8317
_cell_length_b 4.8317
_cell_length_c 23.6309
_cell_angle_alpha 90.00
_cell_angle_beta 90.00
_cell_angle_gamma 120.00
loop_
_atom_site_label
_atom_site_fract_x
_atom_site_fract_y
_atom_site_fract_z
Er1 0.0000 0.0000 0.1199
Er2 0.0000 0.0000 0.3714
Ga1 0.0000 0.0000 0.5000
Ir1 0.0000 0.0000 0.2489
```